Record 1
Theoretical XRD peak list
Compound: ErCuGe
Radiation: CuKα
Structure: a GGA-PBE-relaxed structure
No peak broadening, texture or thermal motion is included.

Structure:
Cell lengths 4.3282, 4.3282, 7.1903 Å; angles 90.00, 90.00, 120.00 degrees
Space group P-3m1 (No. 164)
Unique sites:
Er (0.0000, 0.0000, 0.2374)
Cu (0.3333, 0.6667, 0.0226)
Ge (0.3333, 0.6667, 0.4662)

Top 8 peaks for 2θ = 10–90°, by angle:
- 2θ = 23.74°, 3.748 Å, intensity 21, hkl 1 0 0
- 2θ = 34.57°, 2.595 Å, intensity 100, hkl 0 1 2
- 2θ = 41.74°, 2.164 Å, intensity 53, hkl 1 1 0
- 2θ = 50.79°, 1.798 Å, intensity 7, hkl 0 0 4
- 2θ = 55.27°, 1.662 Å, intensity 26, hkl 2 0 2
- 2θ = 67.77°, 1.383 Å, intensity 18, hkl 1 1 4
- 2θ = 71.59°, 1.318 Å, intensity 24, hkl 1 2 2
- 2θ = 76.20°, 1.249 Å, intensity 9, hkl 3 0 0

***

Record 2
Theoretical XRD peak list
Compound: BeSnP2
Radiation: CuKα
Structure: a GGA-PBE-relaxed structure
No peak broadening, texture or thermal motion is included.

Structure:
Cell lengths 5.442, 5.442, 10.878 Å; angles 90.00, 90.00, 90.00 degrees
Space group I-42d (No. 122)
Unique sites:
Be (0.000, 0.000, 0.000)
Sn (0.000, 0.000, 0.500)
P (0.196, 0.750, 0.125)

Top 8 peaks for 2θ = 10–90°, by angle:
- 2θ = 18.23°, 4.867 Å, intensity 69, hkl 1 0 1
- 2θ = 28.41°, 3.141 Å, intensity 100, hkl 1 1 2
- 2θ = 29.60°, 3.018 Å, intensity 38, hkl 1 0 3
- 2θ = 37.88°, 2.375 Å, intensity 42, hkl 2 1 1
- 2θ = 44.86°, 2.021 Å, intensity 29, hkl 1 0 5
- 2θ = 47.25°, 1.924 Å, intensity 60, hkl 2 0 4
- 2θ = 56.06°, 1.641 Å, intensity 43, hkl 1 1 6
- 2θ = 87.91°, 1.111 Å, intensity 19, hkl 2 2 8